Computed X-ray powder pattern of Li6ZrBeF12 for Cu Ka, from a PBE-relaxed structure.
Kinematic intensities with the Lorentz-polarization factor, no thermal factor.

Main lines, by intensity (10° ≤ 2θ ≤ 90°):
| 2θ/deg | Rel. int. | index |
| --- | --- | --- |
| 21.07 | 100 | 1 1 2 |
| 14.09 | 89 | 1 0 1 |
| 19.45 | 52 | 1 0 3 |
| 32.94 | 50 | 2 0 4 |
| 55.22 | 38 | 2 2 8 |
| 45.51 | 37 | 2 1 7 |
| 38.54 | 37 | 2 1 5 |
| 39.49 | 33 | 2 0 6 |
| 43.17 | 32 | 3 0 3 |
| 18.91 | 30 | 0 0 4 |
| 26.72 | 28 | 2 0 0 |
| 55.05 | 27 | 4 0 0 |

Atomic structure:
Cell lengths 6.6729, 6.6729, 18.7672 Å; angles 90.00, 90.00, 90.00 degrees
Space group I4_1/amd (No. 141, origin choice 2)
Asymmetric unit:
Li: 0.0000 0.2500 0.1034 (multiplicity 8)
Li: 0.2321 0.0000 0.0000 (multiplicity 16)
Zr: 0.0000 0.2500 0.3750 (multiplicity 4)
Be: 0.0000 0.2500 0.8750 (multiplicity 4)
F: 0.0000 0.0193 0.2910 (multiplicity 16)
F: 0.0000 0.0342 0.5773 (multiplicity 16)
F: 0.0000 0.0590 0.9253 (multiplicity 16)

Computed X-ray powder pattern of LuBeNF6 for Cu Ka, from a PBE-relaxed structure.
Kinematic intensities with the Lorentz-polarization factor, no thermal factor.

Main lines, by intensity (10° ≤ 2θ ≤ 90°):
| 2θ/deg | Rel. int. | index |
| --- | --- | --- |
| 18.49 | 100 | 0 1 1 |
| 22.25 | 62 | 1 1 0 |
| 26.51 | 37 | 0 0 2 |
| 23.09 | 28 | 1 0 1 |
| 26.04 | 27 | 0 2 0 |
| 21.65 | 25 | 1 0 -1 |
| 43.73 | 25 | 1 3 0 |
| 40.39 | 20 | 2 1 -1 |
| 34.11 | 18 | 1 2 -1 |
| 36.51 | 17 | 2 0 0 |
| 51.16 | 15 | 1 3 -2 |
| 45.37 | 14 | 2 2 0 |

Atomic structure:
Cell lengths 4.9333, 6.8442, 6.7413 Å; angles 90.00, 93.80, 90.00 degrees
Space group P2_1/m (No. 11)
Asymmetric unit:
Lu: 0.2428 0.2500 0.2720 (multiplicity 2)
Be: 0.0001 0.2500 0.7446 (multiplicity 2)
N: 0.2742 0.7500 0.7104 (multiplicity 2)
F: 0.1208 0.2500 0.9653 (multiplicity 2)
F: 0.1696 0.5571 0.2917 (multiplicity 4)
F: 0.2196 0.2500 0.5852 (multiplicity 2)
F: 0.3600 0.5867 0.8454 (multiplicity 4)

Computed X-ray powder pattern of RbLuBeF6 for Cu Ka, from a PBE-relaxed structure.
Kinematic intensities with the Lorentz-polarization factor, no thermal factor.

Main lines, by intensity (10° ≤ 2θ ≤ 90°):
| 2θ/deg | Rel. int. | index |
| --- | --- | --- |
| 28.59 | 100 | 1 1 1 |
| 29.35 | 82 | 1 1 -2 |
| 27.36 | 47 | 2 0 -1 |
| 21.50 | 43 | 1 1 0 |
| 15.39 | 39 | 1 0 -1 |
| 20.47 | 34 | 0 1 1 |
| 21.83 | 33 | 1 1 -1 |
| 31.08 | 31 | 0 2 0 |
| 41.63 | 30 | 0 2 2 |
| 41.88 | 28 | 2 2 -1 |
| 50.11 | 26 | 3 1 -3 |
| 13.41 | 26 | 0 0 1 |

Atomic structure:
Cell lengths 6.5240, 5.7554, 7.2556 Å; angles 90.00, 114.47, 90.00 degrees
Space group P2_1/m (No. 11)
Asymmetric unit:
Rb: 0.0872 0.2500 0.2125 (multiplicity 2)
Lu: 0.3985 0.2500 0.8246 (multiplicity 2)
Be: 0.2309 0.7500 0.4633 (multiplicity 2)
F: 0.0082 0.2500 0.7187 (multiplicity 2)
F: 0.2560 0.5296 0.5975 (multiplicity 4)
F: 0.3239 0.5009 0.0224 (multiplicity 4)
F: 0.4095 0.7500 0.3739 (multiplicity 2)

Computed X-ray powder pattern of MgBePbF6 for Cu Ka, from a PBE-relaxed structure.
Kinematic intensities with the Lorentz-polarization factor, no thermal factor.

Main lines, by intensity (10° ≤ 2θ ≤ 90°):
| 2θ/deg | Rel. int. | index |
| --- | --- | --- |
| 26.42 | 100 | 1 0 1 |
| 20.23 | 51 | 1 0 0 |
| 39.45 | 30 | 1 1 1 |
| 39.88 | 28 | 1 0 2 |
| 49.91 | 27 | 2 -1 2 |
| 58.30 | 22 | 3 -1 1 |
| 44.72 | 21 | 2 0 1 |
| 41.13 | 16 | 2 0 0 |
| 35.42 | 15 | 1 1 0 |
| 16.81 | 14 | 0 0 1 |
| 66.59 | 11 | 2 1 2 |
| 56.37 | 11 | 1 0 3 |

Atomic structure:
Cell lengths 5.0685, 5.0685, 5.2746 Å; angles 90.00, 90.00, 120.00 degrees
Space group P312 (No. 149)
Asymmetric unit:
Mg: 0.0000 0.0000 0.0000 (multiplicity 1)
Be: 0.3333 0.6667 0.0000 (multiplicity 1)
Pb: 0.6667 0.3333 0.5000 (multiplicity 1)
F: 0.0585 0.3631 0.1955 (multiplicity 6)